Record 1
For Tm2CoAg, a crystal structure in Alexandria, relaxed with PBE gives the theoretical powder diffraction line list in this record (copper Kα).

Atomic structure:
```
data_Tm2CoAg
_chemical_formula_sum 'Tm8 Co4 Ag4'
_symmetry_space_group_name_H-M 'F m -3 m'
_symmetry_Int_Tables_number 225
_symmetry_space_group_name_Hall '-F 4 2 3'
_cell_length_a 6.8869
_cell_length_b 6.8869
_cell_length_c 6.8869
_cell_angle_alpha 90.00
_cell_angle_beta 90.00
_cell_angle_gamma 90.00
loop_
_atom_site_label
_atom_site_type_symbol
_atom_site_fract_x
_atom_site_fract_y
_atom_site_fract_z
Tm1 Tm 0.2500 0.2500 0.2500
Co1 Co 0.0000 0.0000 0.0000
Ag1 Ag 0.0000 0.0000 0.5000
```

Principal peaks in the range 15 to 90 degrees two-theta, in order of rising 2θ:
(hkl), 2θ/deg, I_rel
1 1 1, 22.36, 2
2 0 0, 25.87, 12
2 2 0, 36.92, 100
3 1 1, 43.59, 1
2 2 2, 45.63, 4
4 0 0, 53.20, 17
4 2 0, 60.08, 5
4 2 2, 66.51, 35
4 4 0, 78.58, 11
6 0 0, 84.39, 3


Record 2
For YCoAg2, a crystal structure in Alexandria, relaxed with PBE gives the theoretical powder diffraction line list in this record (copper Kα).

Atomic structure:
```
data_YCoAg2
_chemical_formula_sum 'Y1 Co1 Ag2'
_symmetry_space_group_name_H-M 'P m m 2'
_symmetry_Int_Tables_number 25
_cell_length_a 3.4611
_cell_length_b 3.4749
_cell_length_c 6.2930
_cell_angle_alpha 90.00
_cell_angle_beta 90.00
_cell_angle_gamma 90.00
loop_
_symmetry_equiv_pos_as_xyz
'x,y,z'
'-x,-y,z'
'-x,y,z'
'x,-y,z'
loop_
_atom_site_label
_atom_site_type_symbol
_atom_site_fract_x
_atom_site_fract_y
_atom_site_fract_z
Y1 Y 0.0000 0.0000 0.0000
Co1 Co 0.5000 0.5000 0.2471
Ag1 Ag 0.0000 0.0000 0.4658
Ag2 Ag 0.5000 0.5000 0.6969
```

Principal peaks in the range 15 to 90 degrees two-theta, in order of rising 2θ:
(hkl), 2θ/deg, I_rel
1 0 1, 29.41, 8
1 1 0, 36.65, 63
1 0 2, 38.64, 100
0 2 0, 52.68, 11
2 0 0, 52.91, 10
0 0 4, 58.68, 5
1 2 2, 67.23, 18
2 1 2, 67.38, 18
1 1 4, 71.21, 12
2 2 0, 77.92, 6


Record 3
For ZnCoAg, a crystal structure in Alexandria, relaxed with PBE gives the theoretical powder diffraction line list in this record (copper Kα).

Atomic structure:
```
data_ZnCoAg
_chemical_formula_sum 'Zn2 Co2 Ag2'
_symmetry_space_group_name_H-M 'P -6 m 2'
_symmetry_Int_Tables_number 187
_symmetry_space_group_name_Hall 'P -6 2'
_cell_length_a 2.7302
_cell_length_b 2.7302
_cell_length_c 13.4134
_cell_angle_alpha 90.00
_cell_angle_beta 90.00
_cell_angle_gamma 120.00
loop_
_atom_site_label
_atom_site_type_symbol
_atom_site_fract_x
_atom_site_fract_y
_atom_site_fract_z
Zn1 Zn 0.0000 0.0000 0.0000
Zn2 Zn 0.3333 0.6667 0.5000
Co1 Co 0.3333 0.6667 0.1521
Ag1 Ag 0.0000 0.0000 0.3220
```

Principal peaks in the range 15 to 90 degrees two-theta, in order of rising 2θ:
(hkl), 2θ/deg, I_rel
0 0 3, 19.86, 7
0 0 5, 33.40, 5
1 0 0, 38.06, 28
0 0 6, 40.34, 24
1 0 3, 43.29, 100
1 0 6, 56.66, 14
1 1 0, 68.77, 16
1 0 9, 75.39, 13
1 1 6, 82.86, 16
2 0 3, 84.83, 13